Structure and computed powder diffractogram of Mo2P2O11 (the PBE+U geometry in Alexandria; Cu Kα, 1.54184 Å).
Neutral-atom scattering factors, no anomalous dispersion.

Cell and atoms:
```
Mo2P2O11
1.0
8.008 0.000 0.000
0.000 12.733 0.000
-2.778 0.000 8.249
Mo P O
8 8 44
direct
0.197 0.250 0.159 Mo
0.230 0.750 0.182 Mo
0.235 0.001 0.649 Mo
0.235 0.499 0.649 Mo
0.765 0.501 0.351 Mo
0.765 0.999 0.351 Mo
0.770 0.250 0.818 Mo
0.803 0.750 0.841 Mo
0.174 0.250 0.753 P
0.316 0.007 0.264 P
0.316 0.493 0.264 P
0.361 0.750 0.586 P
0.639 0.250 0.414 P
0.684 0.507 0.736 P
0.684 0.993 0.736 P
0.826 0.750 0.247 P
0.000 0.000 0.500 O
0.000 0.500 0.500 O
0.026 0.750 0.297 O
0.038 0.750 0.986 O
0.138 0.250 0.330 O
0.187 0.525 0.822 O
0.187 0.975 0.822 O
0.213 0.596 0.195 O
0.213 0.904 0.195 O
0.220 0.096 0.145 O
0.220 0.404 0.145 O
0.236 0.154 0.671 O
0.236 0.346 0.671 O
0.257 0.652 0.604 O
0.257 0.848 0.604 O
0.264 0.250 0.935 O
0.314 0.029 0.434 O
0.314 0.471 0.434 O
0.387 0.750 0.416 O
0.400 0.750 0.105 O
0.460 0.250 0.281 O
0.497 0.002 0.752 O
0.497 0.498 0.752 O
0.503 0.502 0.248 O
0.503 0.998 0.248 O
0.540 0.750 0.719 O
0.600 0.250 0.895 O
0.613 0.250 0.584 O
0.686 0.529 0.566 O
0.686 0.971 0.566 O
0.736 0.750 0.065 O
0.743 0.152 0.396 O
0.743 0.348 0.396 O
0.764 0.654 0.329 O
0.764 0.846 0.329 O
0.780 0.596 0.855 O
0.780 0.904 0.855 O
0.787 0.096 0.805 O
0.787 0.404 0.805 O
0.813 0.025 0.178 O
0.813 0.475 0.178 O
0.862 0.750 0.670 O
0.962 0.250 0.014 O
0.974 0.250 0.703 O
```

The 10 most intense peaks (15 to 90 degrees two-theta), low angle first:
hkl  d (Å)  2theta  Rel. int.
0 2 1  5.040  17.60  60.5
1 2 -1  4.636  19.15  87.6
1 0 -2  4.235  20.98  72.0
0 0 2  4.124  21.55  39.8
2 0 0  3.794  23.45  100.0
1 0 2  3.218  27.72  35.5
0 4 0  3.183  28.03  90.5
2 2 1  2.782  32.18  31.0
2 2 -3  2.461  36.52  37.3
4 2 1  1.671  54.96  25.8